No. 1
Starting from DFT lattice parameters and positions (GGA-PBE), the XRD peak list of RbCdTePPd was simulated for Cu Kα, 1.54184 Å.
Intensities are scaled so that the largest is 100.

Most intense lines, 2θ = 10–90°, by angle:
2θ 11.53, intensity 100; 2θ 22.99, intensity 24; 2θ 25.60, intensity 25; 2θ 31.77, intensity 77; 2θ 32.59, intensity 49; 2θ 32.73, intensity 36; 2θ 37.49, intensity 39; 2θ 38.90, intensity 76; 2θ 46.53, intensity 27; 2θ 47.69, intensity 37

Structure:
Cell lengths 4.6385, 3.9033, 7.6866 Å; angles 90.00, 93.29, 90.00 degrees
Fractional coordinates of all 5 atoms:
Rb 0.0000 0.0000 0.0000
Cd 0.0140 0.5000 0.4323
Te 0.4712 0.5000 0.7004
P 0.5297 0.5000 0.2574
Pd 0.5029 0.0000 0.4544

---

No. 2
Starting from DFT lattice parameters and positions (GGA-PBE), the XRD peak list of Cd12Hg2Pd5 was simulated for Cu Kα, 1.54184 Å.
Intensities are scaled so that the largest is 100.

Most intense lines, 2θ = 10–90°, by angle:
2θ 26.73, intensity 20; 2θ 31.69, intensity 30; 2θ 36.16, intensity 32; 2θ 37.06, intensity 100; 2θ 38.56, intensity 31; 2θ 39.34, intensity 25; 2θ 40.78, intensity 35; 2θ 41.31, intensity 20; 2θ 42.65, intensity 23; 2θ 44.80, intensity 35

Structure:
Cell lengths 8.0679, 8.0679, 9.5565 Å; angles 96.41, 96.41, 43.01 degrees
Fractional coordinates of all 19 atoms:
Cd 0.0247 0.0247 0.3185
Cd 0.0466 0.5542 0.8750
Cd 0.1059 0.6118 0.3645
Cd 0.3447 0.3447 0.6303
Cd 0.3882 0.8941 0.6355
Cd 0.4458 0.9534 0.1250
Cd 0.5542 0.0466 0.8750
Cd 0.6118 0.1059 0.3645
Cd 0.6553 0.6553 0.3697
Cd 0.8941 0.3882 0.6355
Cd 0.9534 0.4458 0.1250
Cd 0.9753 0.9753 0.6815
Hg 0.2597 0.7403 0.0000
Hg 0.7403 0.2597 0.0000
Pd 0.1355 0.1355 0.8827
Pd 0.2032 0.2032 0.3905
Pd 0.5000 0.5000 0.5000
Pd 0.7968 0.7968 0.6095
Pd 0.8645 0.8645 0.1173

---

No. 3
Starting from DFT lattice parameters and positions (GGA-PBE), the XRD peak list of CsAcIn2Br6 was simulated for Cu Kα, 1.54184 Å.
Intensities are scaled so that the largest is 100.

Most intense lines, 2θ = 10–90°, by angle:
2θ 14.50, intensity 53; 2θ 20.06, intensity 56; 2θ 21.05, intensity 40; 2θ 24.27, intensity 66; 2θ 29.24, intensity 40; 2θ 32.13, intensity 100; 2θ 36.31, intensity 44; 2θ 36.89, intensity 62; 2θ 42.39, intensity 26; 2θ 49.72, intensity 24

Structure:
Cell lengths 8.4313, 8.4432, 8.8715 Å; angles 61.64, 61.63, 60.05 degrees
Fractional coordinates of all 10 atoms:
Cs 0.0000 0.0000 0.0000
Ac 0.5154 0.5155 0.4530
In 0.2032 0.2028 0.3903
In 0.7132 0.7127 0.8603
Br 0.1475 0.7704 0.6575
Br 0.3553 0.5644 0.1797
Br 0.4243 0.1475 0.6568
Br 0.5647 0.8991 0.1794
Br 0.7715 0.4237 0.6569
Br 0.8993 0.3564 0.1791

---

No. 4
Starting from DFT lattice parameters and positions (GGA-PBE), the XRD peak list of DyTlH8Rh2 was simulated for Cu Kα, 1.54184 Å.
Intensities are scaled so that the largest is 100.

Most intense lines, 2θ = 10–90°, by angle:
2θ 28.70, intensity 100; 2θ 37.42, intensity 49; 2θ 41.31, intensity 12; 2θ 44.42, intensity 31; 2θ 53.74, intensity 18; 2θ 59.44, intensity 13; 2θ 62.26, intensity 22; 2θ 62.46, intensity 11; 2θ 72.20, intensity 15; 2θ 77.13, intensity 12

Structure:
Cell lengths 9.0546, 9.0546, 9.0546 Å; angles 26.04, 26.04, 26.04 degrees
Fractional coordinates of all 12 atoms:
Dy 0.0000 0.0000 0.0000
Tl 0.5000 0.5000 0.5000
H 0.0868 0.5228 0.5228
H 0.1888 0.1888 0.1888
H 0.4772 0.4772 0.9132
H 0.4772 0.9132 0.4772
H 0.5228 0.0868 0.5228
H 0.5228 0.5228 0.0868
H 0.8112 0.8112 0.8112
H 0.9132 0.4772 0.4772
Rh 0.2543 0.2543 0.2543
Rh 0.7457 0.7457 0.7457

---

No. 5
Starting from DFT lattice parameters and positions (GGA-PBE), the XRD peak list of Tb5DyPb5 was simulated for Cu Kα, 1.54184 Å.
Intensities are scaled so that the largest is 100.

Most intense lines, 2θ = 10–90°, by angle:
2θ 28.41, intensity 57; 2θ 29.78, intensity 100; 2θ 34.97, intensity 33; 2θ 41.63, intensity 82; 2θ 45.65, intensity 31; 2θ 49.30, intensity 13; 2θ 57.88, intensity 16; 2θ 67.23, intensity 20; 2θ 67.33, intensity 20; 2θ 80.18, intensity 9

Structure:
Cell lengths 8.5119, 8.5119, 7.3943 Å; angles 102.37, 102.37, 43.32 degrees
Fractional coordinates of all 11 atoms:
Tb 0.0000 0.0000 0.0000
Tb 0.3356 0.3356 0.6675
Tb 0.3382 0.3382 0.1668
Tb 0.6618 0.6618 0.8332
Tb 0.6644 0.6644 0.3325
Dy 0.0000 0.0000 0.5000
Pb 0.1666 0.1666 0.8385
Pb 0.1675 0.1675 0.3295
Pb 0.5000 0.5000 0.5000
Pb 0.8325 0.8325 0.6705
Pb 0.8334 0.8334 0.1615

---

Please write out number 2 again, unchanged.
Starting from DFT lattice parameters and positions (GGA-PBE), the XRD peak list of Cd12Hg2Pd5 was simulated for Cu Kα, 1.54184 Å.
Intensities are scaled so that the largest is 100.

Most intense lines, 2θ = 10–90°, by angle:
2θ 26.73, intensity 20; 2θ 31.69, intensity 30; 2θ 36.16, intensity 32; 2θ 37.06, intensity 100; 2θ 38.56, intensity 31; 2θ 39.34, intensity 25; 2θ 40.78, intensity 35; 2θ 41.31, intensity 20; 2θ 42.65, intensity 23; 2θ 44.80, intensity 35

Structure:
Cell lengths 8.0679, 8.0679, 9.5565 Å; angles 96.41, 96.41, 43.01 degrees
Fractional coordinates of all 19 atoms:
Cd 0.0247 0.0247 0.3185
Cd 0.0466 0.5542 0.8750
Cd 0.1059 0.6118 0.3645
Cd 0.3447 0.3447 0.6303
Cd 0.3882 0.8941 0.6355
Cd 0.4458 0.9534 0.1250
Cd 0.5542 0.0466 0.8750
Cd 0.6118 0.1059 0.3645
Cd 0.6553 0.6553 0.3697
Cd 0.8941 0.3882 0.6355
Cd 0.9534 0.4458 0.1250
Cd 0.9753 0.9753 0.6815
Hg 0.2597 0.7403 0.0000
Hg 0.7403 0.2597 0.0000
Pd 0.1355 0.1355 0.8827
Pd 0.2032 0.2032 0.3905
Pd 0.5000 0.5000 0.5000
Pd 0.7968 0.7968 0.6095
Pd 0.8645 0.8645 0.1173